Diffraction record for CsAgCl2F8. The powder XRD pattern is calculated, not measured: it uses DFT lattice parameters and positions (PBE) and Cu Kα, 1.54184 Å.

Most intense lines, 10° ≤ 2θ ≤ 80°, most intense first:
d_spacing, 2θ/deg, I/Imax
5.733, 15.46, 1000
3.310, 26.94, 545
3.183, 28.03, 464
2.503, 35.87, 301
2.294, 39.27, 293
1.886, 48.27, 252

Structure:
Lattice parameters (Å, degrees): 6.620 6.620 7.654 90.00 90.00 120.00
Fractional positions:
1 Cs 0.000 0.000 0.000
2 Ag 0.000 0.000 0.500
3 Cl 0.333 0.667 0.841
4 Cl 0.667 0.333 0.159
5 F 0.125 0.275 0.655
6 F 0.150 0.875 0.655
7 F 0.275 0.150 0.345
8 F 0.333 0.667 0.058
9 F 0.667 0.333 0.942
10 F 0.725 0.850 0.655
11 F 0.850 0.125 0.345
12 F 0.875 0.725 0.345

***

Diffraction record for ZrAs2Pd7. The powder XRD pattern is calculated, not measured: it uses DFT lattice parameters and positions (PBE) and Cu Kα, 1.54184 Å.

Most intense lines, 10° ≤ 2θ ≤ 80°, most intense first:
d_spacing, 2θ/deg, I/Imax
2.192, 41.18, 1000
2.060, 43.96, 488
1.213, 78.92, 286
1.456, 63.92, 156
2.516, 35.68, 137
1.295, 73.09, 114

Structure:
Lattice parameters (Å, degrees): 10.405 10.405 10.405 157.17 157.17 32.51
Fractional positions:
1 Zr 0.000 0.000 0.000
2 As 0.325 0.325 0.000
3 As 0.675 0.675 0.000
4 Pd 0.099 0.599 0.500
5 Pd 0.250 0.750 0.500
6 Pd 0.401 0.901 0.500
7 Pd 0.500 0.500 0.000
8 Pd 0.599 0.099 0.500
9 Pd 0.750 0.250 0.500
10 Pd 0.901 0.401 0.500